Record 1
Starting from a DFT-relaxed cell (GGA-PBE, OQMD), the powder diffractogram of Cs2OsSe2S was simulated for Cu Kα X-rays.

Most intense lines, 2θ = 10–80°, low angle first:
d = 7.010 Å, I 27.2; d = 6.024 Å, I 30.8; d = 5.849 Å, I 21.6; d = 3.806 Å, I 29.6; d = 3.682 Å, I 100.0; d = 3.649 Å, I 28.2; d = 3.473 Å, I 52.4; d = 3.407 Å, I 45.4; d = 2.450 Å, I 26.7; d = 2.158 Å, I 24.1

Crystal structure
a = 7.378 Å, b = 7.836 Å, c = 9.418 Å
α = 72.23°, β = 68.50°, γ = 65.45°
Sites, in units of the cell vectors:
1 Cs 0.087 0.192 0.143
2 Cs 0.335 0.569 0.308
3 Cs 0.665 0.431 0.692
4 Cs 0.913 0.808 0.857
5 Os 0.395 0.046 0.649
6 Os 0.605 0.954 0.351
7 Se 0.184 0.347 0.727
8 Se 0.379 0.841 0.895
9 Se 0.621 0.159 0.105
10 Se 0.816 0.653 0.273
11 S 0.280 0.968 0.494
12 S 0.720 0.032 0.506

***

Record 2
Starting from a DFT-relaxed cell (GGA-PBE, OQMD), the powder diffractogram of CsP2PdSeS6 was simulated for Cu Kα X-rays.

Most intense lines, 2θ = 10–80°, low angle first:
d = 7.019 Å, I 85.4; d = 5.036 Å, I 72.2; d = 4.799 Å, I 44.1; d = 4.559 Å, I 58.3; d = 3.962 Å, I 62.9; d = 3.264 Å, I 100.0; d = 2.958 Å, I 73.0; d = 2.853 Å, I 60.4; d = 2.834 Å, I 54.1; d = 2.279 Å, I 46.0

Crystal structure
a = 6.574 Å, b = 6.574 Å, c = 7.084 Å
α = 95.31°, β = 95.31°, γ = 93.77°
Sites, in units of the cell vectors:
1 Cs 0.000 0.000 0.000
2 P 0.548 0.044 0.424
3 P 0.956 0.452 0.576
4 Pd 0.408 0.592 0.500
5 Se 0.899 0.101 0.500
6 S 0.048 0.590 0.350
7 S 0.211 0.475 0.765
8 S 0.410 0.952 0.650
9 S 0.435 0.279 0.291
10 S 0.525 0.789 0.235
11 S 0.721 0.565 0.709

***

Record 3
Starting from a DFT-relaxed cell (GGA-PBE, OQMD), the powder diffractogram of CsPPdSe4 was simulated for Cu Kα X-rays.

Most intense lines, 2θ = 10–80°, low angle first:
d = 6.338 Å, I 82.9; d = 4.571 Å, I 100.0; d = 4.482 Å, I 85.4; d = 3.836 Å, I 92.1; d = 3.169 Å, I 45.0; d = 2.963 Å, I 81.9; d = 2.657 Å, I 65.6; d = 2.605 Å, I 78.2; d = 2.286 Å, I 34.3; d = 1.854 Å, I 81.2

Crystal structure
a = 9.150 Å, b = 9.150 Å, c = 9.150 Å
α = 121.34°, β = 121.34°, γ = 87.69°
Sites, in units of the cell vectors:
1 Cs 0.250 0.250 0.000
2 Cs 0.750 0.750 0.000
3 P 0.250 0.750 0.500
4 P 0.750 0.250 0.500
5 Pd 0.000 0.500 0.500
6 Pd 0.500 0.000 0.500
7 Se 0.006 0.506 0.236
8 Se 0.230 0.994 0.500
9 Se 0.270 0.770 0.764
10 Se 0.494 0.730 0.500
11 Se 0.506 0.270 0.500
12 Se 0.730 0.230 0.236
13 Se 0.770 0.006 0.500
14 Se 0.994 0.494 0.764

***

Record 4
Starting from a DFT-relaxed cell (GGA-PBE, OQMD), the powder diffractogram of Cs2PrP2Se7 was simulated for Cu Kα X-rays.

Most intense lines, 2θ = 10–80°, low angle first:
d = 8.782 Å, I 22.6; d = 5.046 Å, I 26.0; d = 3.689 Å, I 47.3; d = 3.438 Å, I 59.8; d = 3.056 Å, I 55.0; d = 3.006 Å, I 100.0; d = 2.945 Å, I 78.1; d = 2.578 Å, I 32.7; d = 2.523 Å, I 35.1; d = 1.730 Å, I 22.3

Crystal structure
a = 10.388 Å, b = 7.393 Å, c = 22.097 Å
α = 90.00°, β = 110.36°, γ = 90.00°
Sites, in units of the cell vectors:
1 Cs 0.164 0.006 0.303
2 Cs 0.164 0.494 0.803
3 Cs 0.236 0.501 0.479
4 Cs 0.236 0.999 0.979
5 Cs 0.764 0.001 0.021
6 Cs 0.764 0.499 0.521
7 Cs 0.836 0.506 0.197
8 Cs 0.836 0.994 0.697
9 Pr 0.342 0.022 0.650
10 Pr 0.342 0.478 0.150
11 Pr 0.658 0.522 0.850
12 Pr 0.658 0.978 0.350
13 P 0.022 0.001 0.453
14 P 0.022 0.499 0.953
15 P 0.448 0.520 0.334
16 P 0.448 0.980 0.834
17 P 0.552 0.020 0.166
18 P 0.552 0.480 0.666
19 P 0.978 0.501 0.047
20 P 0.978 0.999 0.547
21 Se 0.078 0.246 0.600
22 Se 0.078 0.254 0.100
23 Se 0.089 0.738 0.101
24 Se 0.089 0.762 0.601
25 Se 0.235 0.502 0.262
26 Se 0.235 0.998 0.762
27 Se 0.246 0.008 0.485
28 Se 0.246 0.492 0.985
29 Se 0.417 0.091 0.223
30 Se 0.417 0.409 0.723
31 Se 0.469 0.749 0.901
32 Se 0.469 0.751 0.401
33 Se 0.498 0.230 0.894
34 Se 0.498 0.270 0.394
35 Se 0.502 0.730 0.606
36 Se 0.502 0.770 0.106
37 Se 0.531 0.249 0.599
38 Se 0.531 0.251 0.099
39 Se 0.583 0.591 0.277
40 Se 0.583 0.909 0.777
41 Se 0.754 0.508 0.015
42 Se 0.754 0.992 0.515
43 Se 0.765 0.002 0.238
44 Se 0.765 0.498 0.738
45 Se 0.911 0.238 0.399
46 Se 0.911 0.262 0.899
47 Se 0.922 0.746 0.900
48 Se 0.922 0.754 0.400